The following is a simulated powder diffraction line list of CaMnSn. It was derived from the PBE geometry in the Materials Project, using Cu Kα (λ = 1.5418 Å).

Atomic structure:
Cell lengths 4.5289, 4.5289, 7.3526 Å; angles 90.00, 90.00, 90.00 degrees
Space group P4/nmm (No. 129, origin choice 2)
One atom of each set of equivalent atoms:
Ca (0.2500, 0.2500, 0.1765) (multiplicity 2)
Mn (0.2500, 0.7500, 0.5000) (multiplicity 2)
Sn (0.2500, 0.2500, 0.7182) (multiplicity 2)

Top 10 peaks for 10° ≤ 2θ ≤ 90°, by angle:
two_theta  intensity  (hkl)
12.04  393  0 0 1
23.06  573  1 0 1
27.86  330  1 1 0
31.34  280  1 0 2
37.24  1000  1 1 2
39.81  533  2 0 0
41.91  168  1 0 3
46.51  201  2 1 1
57.56  176  2 2 0
70.58  297  3 1 2

The following is a simulated powder diffraction line list of CaMn2Te3. It was derived from the PBE geometry in the Materials Project, using Cu Kα (λ = 1.5418 Å).

Atomic structure:
Cell lengths 4.2537, 4.2537, 10.4509 Å; angles 90.00, 90.00, 120.00 degrees
Space group P-3m1 (No. 164)
One atom of each set of equivalent atoms:
Ca (0.0000, 0.0000, 0.0000) (multiplicity 1)
Mn (0.3333, 0.6667, 0.6596) (multiplicity 2)
Te (0.0000, 0.0000, 0.5000) (multiplicity 1)
Te (0.3333, 0.6667, 0.1892) (multiplicity 2)

Top 10 peaks for 10° ≤ 2θ ≤ 90°, by angle:
two_theta  intensity  (hkl)
25.63  311  1 0 1
29.67  1000  0 1 2
35.47  50  0 1 3
42.46  715  1 1 0
50.23  127  1 0 5
52.69  191  2 0 2
61.61  107  0 2 4
69.79  113  1 1 6
69.92  158  1 2 2
77.74  166  3 0 0

The following is a simulated powder diffraction line list of CaMoN3. It was derived from the PBE geometry in the Materials Project, using Cu Kα (λ = 1.5418 Å).

Atomic structure:
Cell lengths 3.5353, 4.2958, 8.8414 Å; angles 90.00, 90.00, 90.00 degrees
Space group Pmm2 (No. 25)
One atom of each set of equivalent atoms:
Ca (0.0000, 0.0000, 0.0000) (multiplicity 1)
Ca (0.0000, 0.5000, 0.3754) (multiplicity 1)
Mo (0.5000, 0.0000, 0.5889) (multiplicity 1)
Mo (0.5000, 0.5000, 0.7964) (multiplicity 1)
N (0.0000, 0.0000, 0.4991) (multiplicity 1)
N (0.0000, 0.5000, 0.8875) (multiplicity 1)
N (0.5000, 0.0000, 0.8086) (multiplicity 1)
N (0.5000, 0.1431, 0.2087) (multiplicity 2)
N (0.5000, 0.5000, 0.5753) (multiplicity 1)

Top 10 peaks for 10° ≤ 2θ ≤ 90°, by angle:
two_theta  intensity  (hkl)
10.00  1000  0 0 1
25.19  152  1 0 0
27.17  377  1 0 1
28.98  606  0 1 2
32.43  215  1 0 2
34.38  334  1 1 1
36.99  191  0 1 3
42.07  202  0 2 0
50.80  176  1 2 1
51.71  208  2 0 0

The following is a simulated powder diffraction line list of Ca2MoN3. It was derived from the PBE geometry in the Materials Project, using Cu Kα (λ = 1.5418 Å).

Atomic structure:
Cell lengths 5.6344, 10.7190, 11.9502 Å; angles 90.00, 94.35, 90.00 degrees
Space group C2/c (No. 15)
One atom of each set of equivalent atoms:
Ca (0.2232, 0.1141, 0.4194) (multiplicity 8)
Ca (0.2270, 0.2030, 0.8566) (multiplicity 8)
Mo (0.2222, 0.4990, 0.3382) (multiplicity 8)
N (0.0000, 0.0051, 0.7500) (multiplicity 4)
N (0.0000, 0.3803, 0.7500) (multiplicity 4)
N (0.1679, 0.3320, 0.3756) (multiplicity 8)
N (0.2189, 0.0936, 0.0335) (multiplicity 8)

Top 10 peaks for 10° ≤ 2θ ≤ 90°, by angle:
two_theta  intensity  (hkl)
16.54  858  0 2 0
22.50  720  1 1 -2
24.06  301  1 1 2
30.00  414  0 0 4
31.86  1000  2 0 0
32.74  822  1 3 -2
33.86  882  1 3 2
34.02  321  1 1 -4
36.15  627  1 1 4
42.53  280  2 0 -4

The following is a simulated powder diffraction line list of CaMoN3. It was derived from the PBE geometry in the Materials Project, using Cu Kα (λ = 1.5418 Å).

Atomic structure:
Cell lengths 4.4038, 3.5815, 10.1782 Å; angles 90.00, 100.95, 90.00 degrees
Space group P2/m (No. 10)
One atom of each set of equivalent atoms:
Ca (0.1127, 0.0000, 0.2421) (multiplicity 2)
Mo (0.3242, 0.5000, 0.5932) (multiplicity 2)
N (0.0272, 0.5000, 0.0597) (multiplicity 2)
N (0.1820, 0.5000, 0.4008) (multiplicity 2)
N (0.3486, 0.0000, 0.6733) (multiplicity 2)

Top 10 peaks for 10° ≤ 2θ ≤ 90°, by angle:
two_theta  intensity  (hkl)
23.93  479  1 0 1
26.44  783  0 1 1
29.78  668  1 0 2
30.61  579  1 0 -3
30.71  1000  0 1 2
34.78  630  1 1 1
35.21  417  1 1 -2
41.00  611  2 0 -1
44.20  429  0 1 4
52.48  516  2 1 -3

The following is a simulated powder diffraction line list of Ca3Mo2N4. It was derived from the PBE geometry in the Materials Project, using Cu Kα (λ = 1.5418 Å).

Atomic structure:
Cell lengths 11.1902, 8.5533, 5.5029 Å; angles 90.00, 90.73, 90.00 degrees
Space group C2/c (No. 15)
One atom of each set of equivalent atoms:
Ca (0.0000, 0.1033, 0.2500) (multiplicity 4)
Ca (0.1132, 0.3663, 0.5297) (multiplicity 8)
Mo (0.2035, 0.1216, 0.9121) (multiplicity 8)
N (0.1178, 0.3288, 0.0214) (multiplicity 8)
N (0.1532, 0.0819, 0.5736) (multiplicity 8)

Top 10 peaks for 10° ≤ 2θ ≤ 90°, by angle:
two_theta  intensity  (hkl)
15.84  489  2 0 0
20.69  261  1 1 -1
20.85  201  1 1 1
30.62  600  3 1 -1
31.04  1000  2 2 1
35.09  323  1 1 -2
41.73  435  5 1 0
42.26  335  0 4 0
43.07  331  3 3 -1
46.55  337  4 0 2

The following is a simulated powder diffraction line list of Ca3Mo2N4. It was derived from the PBE geometry in the Materials Project, using Cu Kα (λ = 1.5418 Å).

Atomic structure:
Cell lengths 5.7720, 10.2856, 9.2757 Å; angles 90.00, 90.00, 90.00 degrees
Space group Pnna (No. 52)
One atom of each set of equivalent atoms:
Ca (0.1201, 0.1570, 0.0791) (multiplicity 8)
Ca (0.2500, 0.0000, 0.3975) (multiplicity 4)
Mo (0.1267, 0.2500, 0.7500) (multiplicity 4)
Mo (0.2500, 0.0000, 0.7344) (multiplicity 4)
N (0.0066, 0.5815, 0.3429) (multiplicity 8)
N (0.1459, 0.6541, 0.8830) (multiplicity 8)

Top 10 peaks for 10° ≤ 2θ ≤ 90°, by angle:
two_theta  intensity  (hkl)
18.10  1000  1 0 1
19.14  550  0 0 2
27.74  199  0 3 1
32.22  304  2 1 0
32.86  810  1 0 3
34.03  409  1 1 3
39.58  370  1 4 1
40.10  347  0 4 2
48.68  264  1 4 3
59.36  228  3 2 3

The following is a simulated powder diffraction line list of CaMo6S8. It was derived from the PBE geometry in the Materials Project, using Cu Kα (λ = 1.5418 Å).

Atomic structure:
Cell lengths 6.5191, 6.5954, 6.6215 Å; angles 90.24, 90.42, 90.59 degrees
Space group P-1 (No. 2)
One atom of each set of equivalent atoms:
Ca (0.0000, 0.0000, 0.0000) (multiplicity 1)
Mo (0.2312, 0.4411, 0.4201) (multiplicity 2)
Mo (0.4187, 0.7747, 0.5590) (multiplicity 2)
Mo (0.4404, 0.4202, 0.7748) (multiplicity 2)
S (0.1290, 0.6257, 0.7428) (multiplicity 2)
S (0.2416, 0.7627, 0.2395) (multiplicity 2)
S (0.2589, 0.1287, 0.6264) (multiplicity 2)
S (0.3758, 0.2571, 0.1282) (multiplicity 2)

Top 10 peaks for 10° ≤ 2θ ≤ 90°, by angle:
two_theta  intensity  (hkl)
13.40  1000  0 0 1
13.58  518  1 0 0
19.02  159  1 -1 0
30.49  150  2 0 -1
33.35  272  -2 1 1
33.45  179  1 1 2
41.04  216  -2 1 2
41.32  261  2 2 -1
43.17  131  0 1 -3
45.71  162  1 1 3

The following is a simulated powder diffraction line list of CaMo6S8. It was derived from the PBE geometry in the Materials Project, using Cu Kα (λ = 1.5418 Å).

Atomic structure:
Cell lengths 9.2483, 9.2483, 11.4077 Å; angles 90.00, 90.00, 120.00 degrees
Space group R-3 (No. 148, hexagonal axes)
One atom of each set of equivalent atoms:
Ca (0.0000, 0.0000, 0.0000) (multiplicity 3)
Mo (0.0169, 0.8411, 0.4002) (multiplicity 18)
S (0.0000, 0.0000, 0.2386) (multiplicity 6)
S (0.0073, 0.6292, 0.2501) (multiplicity 18)

Top 10 peaks for 10° ≤ 2θ ≤ 90°, by angle:
two_theta  intensity  (hkl)
13.51  1000  1 0 1
19.15  142  0 1 2
30.55  174  2 1 1
33.51  327  1 2 2
41.14  166  0 1 5
41.40  275  1 3 1
43.60  167  3 -1 4
43.73  125  4 -1 2
45.94  408  4 -2 3
52.32  139  2 3 2

The following is a simulated powder diffraction line list of CaMo6S8. It was derived from the PBE geometry in the Materials Project, using Cu Kα (λ = 1.5418 Å).

Atomic structure:
Cell lengths 6.2764, 6.2812, 8.2681 Å; angles 94.23, 107.10, 110.46 degrees
Space group P-1 (No. 2)
One atom of each set of equivalent atoms:
Ca (0.0000, 0.0000, 0.0000) (multiplicity 1)
Mo (0.2494, 0.7888, 0.5873) (multiplicity 2)
Mo (0.3695, 0.3570, 0.3721) (multiplicity 2)
Mo (0.4280, 0.6642, 0.9141) (multiplicity 2)
S (0.1913, 0.4011, 0.6045) (multiplicity 2)
S (0.2564, 0.4677, 0.1052) (multiplicity 2)
S (0.3224, 0.0031, 0.8540) (multiplicity 2)
S (0.3221, 0.9694, 0.3455) (multiplicity 2)

Top 10 peaks for 10° ≤ 2θ ≤ 90°, by angle:
two_theta  intensity  (hkl)
16.04  1000  1 0 0
17.26  630  0 1 -1
20.93  423  0 1 1
29.03  297  -2 1 1
30.85  437  1 -2 1
32.74  418  2 0 -2
38.67  299  2 -2 1
43.94  295  1 0 -4
45.43  383  1 2 -3
50.87  343  -2 3 2

The following is a simulated powder diffraction line list of Ca3N2. It was derived from the PBE geometry in the Materials Project, using Cu Kα (λ = 1.5418 Å).

Atomic structure:
Cell lengths 15.0726, 3.7893, 9.3631 Å; angles 90.00, 100.53, 90.00 degrees
Space group C2/m (No. 12)
One atom of each set of equivalent atoms:
Ca (0.0000, 0.0000, 0.0000) (multiplicity 2)
Ca (0.0318, 0.0000, 0.6605) (multiplicity 4)
Ca (0.1257, 0.5000, 0.2778) (multiplicity 4)
Ca (0.1720, 0.5000, 0.9648) (multiplicity 4)
Ca (0.2103, 0.5000, 0.6206) (multiplicity 4)
N (0.0307, 0.5000, 0.8123) (multiplicity 4)
N (0.1410, 0.0000, 0.4882) (multiplicity 4)
N (0.1826, 0.0000, 0.1302) (multiplicity 4)

Top 10 peaks for 10° ≤ 2θ ≤ 90°, by angle:
two_theta  intensity  (hkl)
29.10  388  0 0 3
29.71  911  3 1 0
32.34  349  3 1 1
33.74  268  3 1 -2
37.33  423  1 1 -3
38.07  318  6 0 -2
39.52  1000  6 0 1
44.47  493  3 1 3
48.02  388  0 2 0
64.17  261  9 1 1

The following is a simulated powder diffraction line list of Ca3N2. It was derived from the PBE geometry in the Materials Project, using Cu Kα (λ = 1.5418 Å).

Atomic structure:
Cell lengths 3.8977, 3.8977, 13.2449 Å; angles 90.00, 90.00, 120.00 degrees
Space group P6_3/mmc (No. 194)
One atom of each set of equivalent atoms:
Ca (0.0000, 0.0000, 0.2500) (multiplicity 2)
Ca (0.3333, 0.6667, 0.0861) (multiplicity 4)
N (0.0000, 0.0000, 0.0000) (multiplicity 2)
N (0.3333, 0.6667, 0.7500) (multiplicity 2)

Top 10 peaks for 10° ≤ 2θ ≤ 90°, by angle:
two_theta  intensity  (hkl)
27.26  155  1 0 1
29.71  322  1 0 2
33.42  1000  1 0 3
38.07  494  1 0 4
40.88  201  0 0 6
46.60  573  1 1 0
58.55  162  2 0 3
61.69  101  2 0 4
63.70  284  1 1 6
77.95  126  2 1 3